No. 1
Starting from a cell relaxed with PBE, the powder diffraction line list of CaSnBi2O8 was calculated for Cu Kα, 1.54184 Å.
No peak broadening, texture or thermal motion is included.

Peak list (12 most intense, 2θ from 10° to 80°, low angle first)
d/Å, I_rel
5.003, 43
3.629, 60
3.453, 53
2.821, 100
2.502, 29
2.487, 17
1.898, 43
1.846, 39
1.545, 10
1.531, 10
1.499, 24
1.410, 12

Structure:
Cell lengths 5.0061, 6.8299, 5.0131 Å; angles 90.00, 92.84, 90.00 degrees
Fractional positions:
Ca 0.0000 0.0000 0.0000
Sn 0.0000 0.5000 0.0000
Bi 0.5000 0.2518 0.5000
Bi 0.5000 0.7482 0.5000
O 0.1963 0.2704 0.1936
O 0.1963 0.7296 0.1936
O 0.3003 0.5000 0.6967
O 0.3162 0.0000 0.6815
O 0.6838 0.0000 0.3185
O 0.6997 0.5000 0.3033
O 0.8037 0.2704 0.8064
O 0.8037 0.7296 0.8064


No. 2
Starting from a cell relaxed with PBE, the powder diffraction line list of SmCoSn3 was calculated for Cu Kα, 1.54184 Å.
No peak broadening, texture or thermal motion is included.

Peak list (12 most intense, 2θ from 10° to 80°, low angle first)
d/Å, I_rel
3.072, 64
2.931, 27
2.468, 100
2.445, 18
2.286, 32
2.216, 29
1.803, 14
1.768, 13
1.591, 21
1.399, 12
1.352, 15
1.323, 14

Structure:
Cell lengths 4.4329, 4.5728, 11.7233 Å; angles 90.00, 90.00, 90.00 degrees
Fractional positions:
Sm 0.0000 0.0000 0.0000
Sm 0.0000 0.5000 0.5000
Co 0.0000 0.0000 0.3116
Co 0.0000 0.5000 0.8116
Sn 0.0000 0.0000 0.7131
Sn 0.0000 0.5000 0.2131
Sn 0.5000 0.0000 0.1915
Sn 0.5000 0.0000 0.4462
Sn 0.5000 0.5000 0.6915
Sn 0.5000 0.5000 0.9462


No. 3
Starting from a cell relaxed with PBE, the powder diffraction line list of DyCoB2Ru was calculated for Cu Kα, 1.54184 Å.
No peak broadening, texture or thermal motion is included.

Peak list (12 most intense, 2θ from 10° to 80°, low angle first)
d/Å, I_rel
3.488, 72
2.404, 36
2.346, 25
2.312, 100
1.879, 30
1.679, 10
1.654, 18
1.480, 15
1.466, 23
1.348, 19
1.329, 9
1.252, 7

Structure:
Cell lengths 3.7577, 3.7577, 9.3832 Å; angles 90.00, 90.00, 90.00 degrees
Fractional positions:
Dy 0.0000 0.0000 0.0000
Dy 0.5000 0.5000 0.5000
Co 0.0000 0.5000 0.2500
Co 0.5000 0.0000 0.7500
B 0.0000 0.0000 0.3417
B 0.0000 0.0000 0.6583
B 0.5000 0.5000 0.1583
B 0.5000 0.5000 0.8417
Ru 0.0000 0.5000 0.7500
Ru 0.5000 0.0000 0.2500


No. 4
Starting from a cell relaxed with PBE, the powder diffraction line list of Ho3Mg7Al2 was calculated for Cu Kα, 1.54184 Å.
No peak broadening, texture or thermal motion is included.

Peak list (12 most intense, 2θ from 10° to 80°, low angle first)
d/Å, I_rel
5.042, 73
4.744, 30
3.185, 81
2.958, 78
2.922, 39
2.551, 39
2.510, 100
1.890, 16
1.748, 29
1.607, 25
1.592, 17
1.479, 19

Structure:
Cell lengths 10.0836, 10.0836, 10.0836 Å; angles 34.11, 34.11, 34.11 degrees
Fractional positions:
Ho 0.0000 0.0000 0.0000
Ho 0.1451 0.1451 0.1451
Ho 0.8549 0.8549 0.8549
Mg 0.0760 0.5832 0.5832
Mg 0.4168 0.4168 0.9240
Mg 0.4168 0.9240 0.4168
Mg 0.5000 0.5000 0.5000
Mg 0.5832 0.0760 0.5832
Mg 0.5832 0.5832 0.0760
Mg 0.9240 0.4168 0.4168
Al 0.3342 0.3342 0.3342
Al 0.6658 0.6658 0.6658


No. 5
Starting from a cell relaxed with PBE, the powder diffraction line list of Pr2Cd5 was calculated for Cu Kα, 1.54184 Å.
No peak broadening, texture or thermal motion is included.

Peak list (12 most intense, 2θ from 10° to 80°, low angle first)
d/Å, I_rel
3.082, 26
2.660, 20
2.567, 92
2.540, 100
2.493, 98
2.433, 17
1.852, 12
1.745, 18
1.646, 21
1.487, 21
1.458, 27
1.443, 30

Structure:
Cell lengths 8.7552, 8.7552, 8.7552 Å; angles 129.95, 71.07, 133.02 degrees
Fractional positions:
Pr 0.1070 0.1960 0.3030
Pr 0.3930 0.6960 0.0890
Pr 0.6070 0.3040 0.9110
Pr 0.8930 0.8040 0.6970
Cd 0.0179 0.7500 0.2679
Cd 0.1245 0.7567 0.8812
Cd 0.2500 0.7500 0.5000
Cd 0.3755 0.2567 0.6323
Cd 0.4821 0.7500 0.7321
Cd 0.5179 0.2500 0.2679
Cd 0.6245 0.7433 0.3677
Cd 0.7500 0.2500 0.5000
Cd 0.8755 0.2433 0.1188
Cd 0.9821 0.2500 0.7321


No. 6
Starting from a cell relaxed with PBE, the powder diffraction line list of Pr3Zn4Cu4 was calculated for Cu Kα, 1.54184 Å.
No peak broadening, texture or thermal motion is included.

Peak list (12 most intense, 2θ from 10° to 80°, low angle first)
d/Å, I_rel
2.814, 25
2.723, 98
2.645, 100
2.639, 97
2.420, 47
2.125, 58
2.097, 28
2.094, 28
1.960, 45
1.808, 29
1.677, 22
1.674, 22

Structure:
Cell lengths 3.9200, 4.2506, 13.5521 Å; angles 81.04, 81.70, 89.85 degrees
Fractional positions:
Pr 0.0000 0.0000 0.0000
Pr 0.1502 0.6504 0.7015
Pr 0.8498 0.3496 0.2985
Zn 0.2519 0.2528 0.4962
Zn 0.4018 0.9016 0.1949
Zn 0.5982 0.0984 0.8051
Zn 0.7481 0.7472 0.5038
Cu 0.3066 0.8079 0.3855
Cu 0.4503 0.4513 0.0954
Cu 0.5497 0.5487 0.9046
Cu 0.6934 0.1921 0.6145


No. 7
Starting from a cell relaxed with PBE, the powder diffraction line list of SmScRuO6 was calculated for Cu Kα, 1.54184 Å.
No peak broadening, texture or thermal motion is included.

Peak list (12 most intense, 2θ from 10° to 80°, low angle first)
d/Å, I_rel
4.589, 8
4.168, 11
3.375, 100
2.649, 32
2.084, 25
1.815, 37
1.638, 24
1.562, 10
1.530, 13
1.345, 6
1.233, 9
1.200, 8

Structure:
Cell lengths 5.2985, 5.2985, 9.9649 Å; angles 90.00, 90.00, 120.00 degrees
Fractional positions:
Sm 0.0000 0.0000 0.0000
Sm 0.0000 0.0000 0.5000
Sc 0.3333 0.6667 0.2500
Sc 0.6667 0.3333 0.7500
Ru 0.3333 0.6667 0.7500
Ru 0.6667 0.3333 0.2500
O 0.0233 0.3701 0.6404
O 0.0233 0.6532 0.8596
O 0.3468 0.3701 0.8596
O 0.3468 0.9767 0.6404
O 0.3701 0.0233 0.1404
O 0.3701 0.3468 0.3596
O 0.6299 0.6532 0.6404
O 0.6299 0.9767 0.8596
O 0.6532 0.0233 0.3596
O 0.6532 0.6299 0.1404
O 0.9767 0.3468 0.1404
O 0.9767 0.6299 0.3596


No. 8
Starting from a cell relaxed with PBE, the powder diffraction line list of DyPa3As4 was calculated for Cu Kα, 1.54184 Å.
No peak broadening, texture or thermal motion is included.

Peak list (12 most intense, 2θ from 10° to 80°, low angle first)
d/Å, I_rel
6.688, 1
5.792, 1
3.493, 1
3.344, 40
2.896, 100
2.657, 1
2.048, 75
1.746, 20
1.672, 27
1.448, 13
1.329, 8
1.295, 35

Structure:
Cell lengths 8.1903, 11.5846, 4.0954 Å; angles 90.00, 90.00, 90.00 degrees
Fractional positions:
Dy 0.0000 0.0000 0.0000
Dy 0.5000 0.5000 0.0000
Pa 0.0000 0.5000 0.0000
Pa 0.2500 0.2500 0.5000
Pa 0.2500 0.7500 0.5000
Pa 0.5000 0.0000 0.0000
Pa 0.7500 0.2500 0.5000
Pa 0.7500 0.7500 0.5000
As 0.0000 0.2490 0.0000
As 0.0000 0.7510 0.0000
As 0.2499 0.0000 0.5000
As 0.2501 0.5000 0.5000
As 0.5000 0.2510 0.0000
As 0.5000 0.7490 0.0000
As 0.7501 0.0000 0.5000
As 0.7499 0.5000 0.5000


No. 9
Starting from a cell relaxed with PBE, the powder diffraction line list of TbPr4Ho4 was calculated for Cu Kα, 1.54184 Å.
No peak broadening, texture or thermal motion is included.

Peak list (10 most intense, 2θ from 10° to 80°, low angle first)
d/Å, I_rel
2.950, 100
2.558, 34
2.548, 17
1.809, 12
1.805, 24
1.542, 29
1.538, 14
1.475, 12
1.279, 4
1.274, 2

Structure:
Cell lengths 8.0849, 8.0849, 8.0849 Å; angles 95.70, 95.70, 143.26 degrees
Fractional positions:
Tb 0.0000 0.0000 0.0000
Pr 0.3332 0.3332 0.6664
Pr 0.3332 0.6668 0.0000
Pr 0.6668 0.3332 0.0000
Pr 0.6668 0.6668 0.3336
Ho 0.0000 0.3357 0.3357
Ho 0.0000 0.6643 0.6643
Ho 0.3357 0.0000 0.3357
Ho 0.6643 0.0000 0.6643


No. 10
Starting from a cell relaxed with PBE, the powder diffraction line list of Sm2Zn2CuNi5 was calculated for Cu Kα, 1.54184 Å.
No peak broadening, texture or thermal motion is included.

Peak list (12 most intense, 2θ from 10° to 80°, low angle first)
d/Å, I_rel
2.835, 17
2.712, 28
2.420, 31
2.270, 100
2.251, 61
2.188, 26
2.090, 40
1.947, 12
1.791, 26
1.404, 11
1.401, 26
1.386, 12

Structure:
Cell lengths 9.2820, 9.2820, 3.5816 Å; angles 90.00, 90.00, 90.00 degrees
Fractional positions:
Sm 0.1804 0.3196 0.0000
Sm 0.3196 0.8196 0.0000
Sm 0.6804 0.1804 0.0000
Sm 0.8196 0.6804 0.0000
Zn 0.1176 0.6176 0.0000
Zn 0.3824 0.1176 0.0000
Zn 0.6176 0.8824 0.0000
Zn 0.8824 0.3824 0.0000
Cu 0.0000 0.0000 0.0000
Cu 0.5000 0.5000 0.0000
Ni 0.0000 0.5000 0.5000
Ni 0.0557 0.8021 0.5000
Ni 0.1979 0.0557 0.5000
Ni 0.3021 0.5557 0.5000
Ni 0.4443 0.3021 0.5000
Ni 0.5000 0.0000 0.5000
Ni 0.5557 0.6979 0.5000
Ni 0.6979 0.4443 0.5000
Ni 0.8021 0.9443 0.5000
Ni 0.9443 0.1979 0.5000


No. 11
Starting from a cell relaxed with PBE, the powder diffraction line list of SrAc2As3 was calculated for Cu Kα, 1.54184 Å.
No peak broadening, texture or thermal motion is included.

Peak list (12 most intense, 2θ from 10° to 80°, low angle first)
d/Å, I_rel
5.556, 5
3.708, 32
3.211, 100
2.271, 79
1.937, 16
1.854, 28
1.606, 14
1.473, 8
1.436, 36
1.311, 21
1.310, 6
1.236, 5

Structure:
Cell lengths 4.5439, 4.5439, 11.1127 Å; angles 90.00, 90.00, 120.00 degrees
Fractional positions:
Sr 0.0000 0.0000 0.0000
Ac 0.3333 0.6667 0.6716
Ac 0.6667 0.3333 0.3284
As 0.0000 0.0000 0.5000
As 0.3333 0.6667 0.1717
As 0.6667 0.3333 0.8283


No. 12
Starting from a cell relaxed with PBE, the powder diffraction line list of NaMg2Bi was calculated for Cu Kα, 1.54184 Å.
No peak broadening, texture or thermal motion is included.

Peak list (12 most intense, 2θ from 10° to 80°, low angle first)
d/Å, I_rel
4.264, 100
3.682, 24
3.544, 61
3.268, 52
2.813, 27
2.444, 54
2.370, 40
2.311, 31
2.032, 29
1.936, 24
1.655, 27
1.493, 19

Structure:
Cell lengths 4.6217, 4.6217, 11.0454 Å; angles 90.00, 90.00, 90.00 degrees
Fractional positions:
Na 0.2500 0.2500 0.2414
Na 0.7500 0.7500 0.7586
Mg 0.2500 0.2500 0.9518
Mg 0.2500 0.7500 0.5000
Mg 0.7500 0.2500 0.5000
Mg 0.7500 0.7500 0.0482
Bi 0.2500 0.2500 0.6714
Bi 0.7500 0.7500 0.3286


No. 13
Starting from a cell relaxed with PBE, the powder diffraction line list of CeNi4Pd was calculated for Cu Kα, 1.54184 Å.
No peak broadening, texture or thermal motion is included.

Peak list (9 most intense, 2θ from 10° to 80°, low angle first)
d/Å, I_rel
4.021, 5
3.482, 1
2.462, 52
2.100, 100
2.011, 21
1.598, 1
1.422, 18
1.340, 29
1.231, 23

Structure:
Cell lengths 4.9248, 4.9248, 4.9248 Å; angles 60.00, 60.00, 60.00 degrees
Fractional positions:
Ce 0.0000 0.0000 0.0000
Ni 0.3754 0.3754 0.3754
Ni 0.3754 0.3754 0.8738
Ni 0.3754 0.8738 0.3754
Ni 0.8738 0.3754 0.3754
Pd 0.7500 0.7500 0.7500


No. 14
Starting from a cell relaxed with PBE, the powder diffraction line list of AcZn2Au2 was calculated for Cu Kα, 1.54184 Å.
No peak broadening, texture or thermal motion is included.

Peak list (12 most intense, 2θ from 10° to 80°, low angle first)
d/Å, I_rel
3.093, 28
3.067, 28
2.925, 100
2.741, 28
2.723, 27
2.178, 56
2.080, 49
1.751, 23
1.742, 23
1.507, 18
1.501, 18
1.224, 17

Structure:
Cell lengths 6.6790, 6.6670, 4.3556 Å; angles 71.10, 70.80, 38.10 degrees
Fractional positions:
Ac 0.0000 0.0000 0.0000
Zn 0.2500 0.2500 0.2500
Zn 0.7500 0.7500 0.7500
Au 0.3794 0.3794 0.6206
Au 0.6206 0.6206 0.3794